Calculated PXRD pattern
Compound: Al2HgWO8
Radiation: Cu Ka
Structure: DFT lattice parameters and positions (PBE+U)
Peak positions follow from Bragg's law for the DFT cell and can differ from measured ones.

Structure:
```
12
Lattice="3.317 -3.229 0.000 3.317 3.229 0.000 -0.306 0.000 6.246" Properties=species:S:1:pos:R:3 pbc="T T T"
Al -0.051 0.000 1.521
Al 6.379 0.000 4.726
Hg 3.164 0.000 3.123
W 3.317 0.000 0.000
O 3.164 2.149 3.123
O 3.317 1.972 0.000
O 1.598 0.000 5.005
O 1.911 0.000 1.424
O 4.416 0.000 4.823
O 4.730 0.000 1.242
O 3.317 -1.972 0.000
O 3.164 -2.149 3.123
```

Peak list (10 most intense, 2θ = 5–70°, sorted by position)
- 19.2°, d 4.625, I 100
- 26.9°, d 3.313, I 46
- 27.6°, d 3.229, I 47
- 28.6°, d 3.123, I 23
- 34.1°, d 2.630, I 42
- 35.2°, d 2.548, I 34
- 38.6°, d 2.330, I 18
- 38.9°, d 2.312, I 20
- 44.2°, d 2.047, I 20
- 53.9°, d 1.701, I 30